# LiBe2Pd6
Simulated powder X-ray diffraction pattern, a wavelength of 1.5418 Å. Input: a structure optimized by DFT (PBE).
Neutral-atom scattering factors, no anomalous dispersion.

Largest 10 diffraction maxima, by angle, 10° ≤ 2θ ≤ 90°:
2θ/deg  Rel. int.
33.2  74
36.4  30
42.3  100
45.6  24
45.8  23
59.7  14
66.6  15
75.4  18
82.0  14
82.3  14

Atomic structure:
```
data_LiBe2Pd6
_cell_length_a 3.982
_cell_length_b 9.879
_cell_length_c 11.885
_cell_angle_alpha 90.00
_cell_angle_beta 90.00
_cell_angle_gamma 90.00
_symmetry_space_group_name_H-M 'F m m m'
_symmetry_Int_Tables_number 69
_symmetry_space_group_name_Hall '-F 2 2'
loop_
_atom_site_label
_atom_site_type_symbol
_atom_site_fract_x
_atom_site_fract_y
_atom_site_fract_z
Li1 Li 0.000 0.000 0.000
Be1 Be 0.000 0.000 0.336
Pd1 Pd 0.000 0.145 0.170
Pd2 Pd 0.000 0.149 0.500
```

# Li2BePd5
Simulated powder X-ray diffraction pattern, a wavelength of 1.5418 Å. Input: a structure optimized by DFT (PBE).
Neutral-atom scattering factors, no anomalous dispersion.

Largest 10 diffraction maxima, by angle, 10° ≤ 2θ ≤ 90°:
2θ/deg  Rel. int.
24.4  32
29.3  57
31.6  42
33.2  82
41.8  97
42.4  100
43.6  53
45.1  55
64.5  33
75.5  31

Atomic structure:
```
data_Li2BePd5
_cell_length_a 5.298
_cell_length_b 10.042
_cell_length_c 4.023
_cell_angle_alpha 90.00
_cell_angle_beta 90.00
_cell_angle_gamma 90.00
_symmetry_space_group_name_H-M 'P b a m'
_symmetry_Int_Tables_number 55
loop_
_symmetry_equiv_pos_as_xyz
'x,y,z'
'-x,-y,-z'
'-x,-y,z'
'x,y,-z'
'x+1/2,-y+1/2,-z'
'-x+1/2,y+1/2,z'
'-x+1/2,y+1/2,-z'
'x+1/2,-y+1/2,z'
loop_
_atom_site_label
_atom_site_type_symbol
_atom_site_fract_x
_atom_site_fract_y
_atom_site_fract_z
Li1 Li 0.152 0.137 0.000
Be1 Be 0.000 0.500 0.500
Pd1 Pd 0.000 0.000 0.500
Pd2 Pd 0.117 0.725 0.500
Pd3 Pd 0.170 0.396 0.000
```

# LiBePd4
Simulated powder X-ray diffraction pattern, a wavelength of 1.5418 Å. Input: a structure optimized by DFT (PBE).
Neutral-atom scattering factors, no anomalous dispersion.

Largest 10 diffraction maxima, by angle, 10° ≤ 2θ ≤ 90°:
2θ/deg  Rel. int.
26.8  88
36.0  50
36.4  100
42.9  49
43.5  95
44.7  62
45.6  29
57.2  26
64.4  20
82.1  22

Atomic structure:
```
data_LiBePd4
_cell_length_a 7.176
_cell_length_b 4.216
_cell_length_c 6.093
_cell_angle_alpha 90.00
_cell_angle_beta 111.83
_cell_angle_gamma 90.00
_symmetry_space_group_name_H-M 'C 1 2/m 1'
_symmetry_Int_Tables_number 12
loop_
_symmetry_equiv_pos_as_xyz
'x,y,z'
'-x,-y,-z'
'-x,y,-z'
'x,-y,z'
'x+1/2,y+1/2,z'
'-x+1/2,-y+1/2,-z'
'-x+1/2,y+1/2,-z'
'x+1/2,-y+1/2,z'
loop_
_atom_site_label
_atom_site_type_symbol
_atom_site_fract_x
_atom_site_fract_y
_atom_site_fract_z
Li1 Li 0.000 0.000 0.000
Be1 Be 0.000 0.500 0.500
Pd1 Pd 0.129 0.500 0.883
Pd2 Pd 0.206 0.000 0.618
```

# Li2BePd8
Simulated powder X-ray diffraction pattern, a wavelength of 1.5418 Å. Input: a structure optimized by DFT (PBE).
Neutral-atom scattering factors, no anomalous dispersion.

Largest 10 diffraction maxima, by angle, 10° ≤ 2θ ≤ 90°:
2θ/deg  Rel. int.
17.8  41
19.9  39
28.8  45
36.1  94
37.2  61
40.0  74
41.0  58
41.3  42
43.7  100
44.3  79

Atomic structure:
```
data_Li2BePd8
_cell_length_a 13.319
_cell_length_b 5.425
_cell_length_c 4.837
_cell_angle_alpha 90.00
_cell_angle_beta 109.56
_cell_angle_gamma 90.00
_symmetry_space_group_name_H-M 'C 1 2/m 1'
_symmetry_Int_Tables_number 12
loop_
_symmetry_equiv_pos_as_xyz
'x,y,z'
'-x,-y,-z'
'-x,y,-z'
'x,-y,z'
'x+1/2,y+1/2,z'
'-x+1/2,-y+1/2,-z'
'-x+1/2,y+1/2,-z'
'x+1/2,-y+1/2,z'
loop_
_atom_site_label
_atom_site_type_symbol
_atom_site_fract_x
_atom_site_fract_y
_atom_site_fract_z
Li1 Li 0.158 0.000 0.478
Be1 Be 0.000 0.000 0.000
Pd1 Pd 0.064 0.259 0.774
Pd2 Pd 0.134 0.500 0.320
Pd3 Pd 0.243 0.000 0.076
```

# LiPr3Be2Pd9
Simulated powder X-ray diffraction pattern, a wavelength of 1.5418 Å. Input: a structure optimized by DFT (PBE).
Neutral-atom scattering factors, no anomalous dispersion.

Largest 10 diffraction maxima, by angle, 10° ≤ 2θ ≤ 90°:
2θ/deg  Rel. int.
34.0  100
37.6  25
40.5  64
56.1  24
61.1  19
67.3  13
69.5  24
71.5  11
73.9  10
87.6  7

Atomic structure:
```
data_LiPr3Be2Pd9
_cell_length_a 6.5544
_cell_length_b 6.5544
_cell_length_c 7.1833
_cell_angle_alpha 90.00
_cell_angle_beta 90.00
_cell_angle_gamma 120.00
_symmetry_space_group_name_H-M 'P -3 m 1'
_symmetry_Int_Tables_number 164
_symmetry_space_group_name_Hall '-P 3 2"'
loop_
_atom_site_label
_atom_site_type_symbol
_atom_site_fract_x
_atom_site_fract_y
_atom_site_fract_z
Li1 Li 0.0000 0.0000 0.0000
Pr1 Pr 0.0000 0.0000 0.5000
Pr2 Pr 0.3333 0.6667 0.1670
Be1 Be 0.3333 0.6667 0.6607
Pd1 Pd 0.0000 0.5000 0.5000
Pd2 Pd 0.1730 0.3460 0.8298
```

# Li3BePt2
Simulated powder X-ray diffraction pattern, a wavelength of 1.5418 Å. Input: a structure optimized by DFT (PBE).
Neutral-atom scattering factors, no anomalous dispersion.

Largest 10 diffraction maxima, by angle, 10° ≤ 2θ ≤ 90°:
2θ/deg  Rel. int.
21.5  100
27.2  57
28.9  69
31.8  41
38.7  43
41.4  27
42.3  38
43.5  56
50.3  22
60.7  27

Atomic structure:
```
data_Li3BePt2
_cell_length_a 4.361
_cell_length_b 13.110
_cell_length_c 2.817
_cell_angle_alpha 90.00
_cell_angle_beta 90.00
_cell_angle_gamma 90.00
_symmetry_space_group_name_H-M 'C m m m'
_symmetry_Int_Tables_number 65
_symmetry_space_group_name_Hall '-C 2 2'
loop_
_atom_site_label
_atom_site_type_symbol
_atom_site_fract_x
_atom_site_fract_y
_atom_site_fract_z
Li1 Li 0.000 0.000 0.000
Li2 Li 0.000 0.188 0.500
Be1 Be 0.000 0.500 0.500
Pt1 Pt 0.000 0.366 0.000
```

# LiBe3Pt4
Simulated powder X-ray diffraction pattern, a wavelength of 1.5418 Å. Input: a structure optimized by DFT (PBE).
Neutral-atom scattering factors, no anomalous dispersion.

Largest 10 diffraction maxima, by angle, 10° ≤ 2θ ≤ 90°:
2θ/deg  Rel. int.
31.2  95
31.4  47
44.5  21
44.8  100
55.5  19
55.7  19
74.0  24
74.4  16
82.3  14
82.6  13

Atomic structure:
```
data_LiBe3Pt4
_cell_length_a 2.848
_cell_length_b 4.068
_cell_length_c 8.094
_cell_angle_alpha 90.00
_cell_angle_beta 90.00
_cell_angle_gamma 90.00
_symmetry_space_group_name_H-M 'P m m m'
_symmetry_Int_Tables_number 47
loop_
_symmetry_equiv_pos_as_xyz
'x,y,z'
'-x,-y,-z'
'-x,-y,z'
'x,y,-z'
'x,-y,-z'
'-x,y,z'
'-x,y,-z'
'x,-y,z'
loop_
_atom_site_label
_atom_site_type_symbol
_atom_site_fract_x
_atom_site_fract_y
_atom_site_fract_z
Li1 Li 0.000 0.000 0.000
Be1 Be 0.000 0.000 0.500
Be2 Be 0.000 0.500 0.244
Pt1 Pt 0.500 0.000 0.260
Pt2 Pt 0.500 0.500 0.000
Pt3 Pt 0.500 0.500 0.500
```

# Li3BePt4
Simulated powder X-ray diffraction pattern, a wavelength of 1.5418 Å. Input: a structure optimized by DFT (PBE).
Neutral-atom scattering factors, no anomalous dispersion.

Largest 10 diffraction maxima, by angle, 10° ≤ 2θ ≤ 90°:
2θ/deg  Rel. int.
30.6  100
43.9  85
54.4  20
54.5  7
63.8  9
72.2  6
72.4  12
72.5  18
80.6  15
80.7  12

Atomic structure:
```
data_Li3BePt4
_cell_length_a 12.390
_cell_length_b 4.125
_cell_length_c 4.125
_cell_angle_alpha 90.00
_cell_angle_beta 109.29
_cell_angle_gamma 90.00
_symmetry_space_group_name_H-M 'C 1 2/m 1'
_symmetry_Int_Tables_number 12
loop_
_symmetry_equiv_pos_as_xyz
'x,y,z'
'-x,-y,-z'
'-x,y,-z'
'x,-y,z'
'x+1/2,y+1/2,z'
'-x+1/2,-y+1/2,-z'
'-x+1/2,y+1/2,-z'
'x+1/2,-y+1/2,z'
loop_
_atom_site_label
_atom_site_type_symbol
_atom_site_fract_x
_atom_site_fract_y
_atom_site_fract_z
Li1 Li 0.000 0.000 0.000
Li2 Li 0.249 0.000 0.249
Be1 Be 0.000 0.500 0.500
Pt1 Pt 0.121 0.000 0.621
Pt2 Pt 0.121 0.500 0.121
```